# 1
This entry pairs a crystal structure of Nd5Sn4 with its theoretical X-ray powder pattern. Radiation: λ = 1.5418 Å (Cu Kα). Structure: DFT lattice parameters and positions (GGA-PBE).
Neutral-atom scattering factors, no anomalous dispersion.

abc: 8.330 16.008 8.469
angles: 90.00 90.00 90.00
Atoms (fractional coordinates):
Nd1 0.018 0.099 0.181
Nd2 0.018 0.401 0.181
Nd3 0.132 0.620 0.337
Nd4 0.132 0.880 0.337
Nd5 0.199 0.250 0.502
Nd6 0.301 0.750 0.002
Nd7 0.368 0.120 0.837
Nd8 0.368 0.380 0.837
Nd9 0.482 0.599 0.681
Nd10 0.482 0.901 0.681
Nd11 0.518 0.099 0.319
Nd12 0.518 0.401 0.319
Nd13 0.632 0.620 0.163
Nd14 0.632 0.880 0.163
Nd15 0.699 0.250 0.998
Nd16 0.801 0.750 0.498
Nd17 0.868 0.120 0.663
Nd18 0.868 0.380 0.663
Nd19 0.982 0.599 0.819
Nd20 0.982 0.901 0.819
Sn1 0.068 0.250 0.885
Sn2 0.177 0.750 0.642
Sn3 0.209 0.042 0.536
Sn4 0.209 0.458 0.536
Sn5 0.291 0.542 0.036
Sn6 0.291 0.958 0.036
Sn7 0.323 0.250 0.142
Sn8 0.432 0.750 0.385
Sn9 0.568 0.250 0.615
Sn10 0.677 0.750 0.858
Sn11 0.709 0.042 0.964
Sn12 0.709 0.458 0.964
Sn13 0.791 0.542 0.464
Sn14 0.791 0.958 0.464
Sn15 0.823 0.250 0.358
Sn16 0.932 0.750 0.115

Top 6 peaks for 2θ from 10° to 80°, in order of rising 2θ:
| Position (°2θ) | I/Imax |
| --- | --- |
| 28.97 | 100 |
| 29.17 | 58 |
| 30.10 | 34 |
| 30.74 | 42 |
| 32.79 | 51 |
| 33.99 | 100 |

***

# 2
This entry pairs a crystal structure of NdHoZr2O7 with its theoretical X-ray powder pattern. Radiation: λ = 1.5418 Å (Cu Kα). Structure: DFT lattice parameters and positions (GGA-PBE).
Neutral-atom scattering factors, no anomalous dispersion.

abc: 7.564 7.564 7.564
angles: 120.07 120.00 89.94
Atoms (fractional coordinates):
Nd1 0.500 0.000 0.000
Nd2 0.500 0.500 0.500
Ho1 0.000 0.000 0.000
Ho2 0.500 0.000 0.500
Zr1 0.000 0.000 0.500
Zr2 0.000 0.500 0.000
Zr3 0.000 0.500 0.500
Zr4 0.500 0.500 0.000
O1 0.085 0.409 0.247
O2 0.085 0.839 0.677
O3 0.088 0.838 0.250
O4 0.338 0.161 0.747
O5 0.338 0.588 0.750
O6 0.338 0.591 0.177
O7 0.366 0.116 0.250
O8 0.634 0.884 0.750
O9 0.662 0.409 0.823
O10 0.662 0.412 0.250
O11 0.662 0.839 0.253
O12 0.912 0.162 0.750
O13 0.915 0.161 0.323
O14 0.915 0.591 0.753

Top 6 peaks for 2θ from 10° to 80°, in order of rising 2θ:
| Position (°2θ) | I/Imax |
| --- | --- |
| 28.92 | 100 |
| 33.51 | 31 |
| 48.12 | 49 |
| 57.12 | 43 |
| 59.92 | 10 |
| 77.86 | 17 |

***

# 3
This entry pairs a crystal structure of Er2MgSe4 with its theoretical X-ray powder pattern. Radiation: λ = 1.5418 Å (Cu Kα). Structure: DFT lattice parameters and positions (GGA-PBE).
Neutral-atom scattering factors, no anomalous dispersion.

abc: 7.417 8.594 13.830
angles: 80.93 84.66 89.98
Atoms (fractional coordinates):
Er1 0.132 0.445 0.201
Er2 0.132 0.955 0.198
Er3 0.258 0.126 0.500
Er4 0.364 0.300 0.800
Er5 0.636 0.700 0.200
Er6 0.742 0.874 0.500
Er7 0.868 0.045 0.802
Er8 0.868 0.555 0.799
Mg1 0.251 0.623 0.503
Mg2 0.367 0.800 0.798
Mg3 0.633 0.200 0.202
Mg4 0.749 0.377 0.497
Se1 0.097 0.405 0.398
Se2 0.104 0.897 0.396
Se3 0.193 0.540 0.874
Se4 0.194 0.023 0.874
Se5 0.311 0.719 0.123
Se6 0.325 0.219 0.125
Se7 0.394 0.845 0.609
Se8 0.404 0.354 0.603
Se9 0.596 0.646 0.397
Se10 0.606 0.155 0.391
Se11 0.675 0.781 0.875
Se12 0.689 0.281 0.877
Se13 0.806 0.977 0.126
Se14 0.807 0.460 0.126
Se15 0.896 0.103 0.604
Se16 0.903 0.595 0.602

Top 6 peaks for 2θ from 10° to 80°, in order of rising 2θ:
| Position (°2θ) | I/Imax |
| --- | --- |
| 19.59 | 85 |
| 24.35 | 100 |
| 29.76 | 69 |
| 42.06 | 42 |
| 42.17 | 83 |
| 44.94 | 57 |

***

# 4
This entry pairs a crystal structure of U8FeS17 with its theoretical X-ray powder pattern. Radiation: λ = 1.5418 Å (Cu Kα). Structure: DFT lattice parameters and positions (GGA-PBE).
Neutral-atom scattering factors, no anomalous dispersion.

abc: 7.743 7.743 10.233
angles: 99.41 99.41 64.52
Atoms (fractional coordinates):
U1 0.182 0.700 0.796
U2 0.203 0.203 0.954
U3 0.300 0.818 0.204
U4 0.317 0.317 0.483
U5 0.683 0.683 0.517
U6 0.700 0.182 0.796
U7 0.797 0.797 0.046
U8 0.818 0.300 0.204
Fe1 0.000 0.000 0.500
S1 0.000 0.000 0.000
S2 0.056 0.684 0.525
S3 0.057 0.057 0.722
S4 0.180 0.566 0.035
S5 0.212 0.212 0.222
S6 0.301 0.301 0.743
S7 0.316 0.944 0.475
S8 0.434 0.820 0.965
S9 0.478 0.478 0.331
S10 0.522 0.522 0.669
S11 0.566 0.180 0.035
S12 0.684 0.056 0.525
S13 0.699 0.699 0.257
S14 0.788 0.788 0.778
S15 0.820 0.434 0.965
S16 0.943 0.943 0.278
S17 0.944 0.316 0.475

Top 6 peaks for 2θ from 10° to 80°, in order of rising 2θ:
| Position (°2θ) | I/Imax |
| --- | --- |
| 24.52 | 58 |
| 25.63 | 100 |
| 26.24 | 62 |
| 27.97 | 90 |
| 35.78 | 42 |
| 41.25 | 42 |

***

# 5
This entry pairs a crystal structure of Na3NbZnSi2SO12 with its theoretical X-ray powder pattern. Radiation: λ = 1.5418 Å (Cu Kα). Structure: DFT lattice parameters and positions (GGA-PBE).
Neutral-atom scattering factors, no anomalous dispersion.

abc: 9.088 9.088 9.259
angles: 120.35 120.35 60.54
Atoms (fractional coordinates):
Na1 0.045 0.955 0.500
Na2 0.305 0.834 0.239
Na3 0.560 0.733 0.019
Na4 0.733 0.560 0.519
Na5 0.834 0.305 0.739
Na6 0.955 0.045 0.000
Nb1 0.466 0.972 0.703
Nb2 0.972 0.466 0.203
Zn1 0.147 0.686 0.816
Zn2 0.686 0.147 0.316
Si1 0.076 0.284 0.518
Si2 0.284 0.076 0.018
Si3 0.779 0.875 0.522
Si4 0.875 0.779 0.022
S1 0.368 0.578 0.521
S2 0.578 0.368 0.021
O1 0.041 0.317 0.334
O2 0.055 0.749 0.004
O3 0.095 0.253 0.034
O4 0.113 0.457 0.684
O5 0.201 0.547 0.361
O6 0.253 0.095 0.534
O7 0.260 0.900 0.997
O8 0.317 0.041 0.834
O9 0.351 0.613 0.684
O10 0.370 0.747 0.522
O11 0.435 0.532 0.994
O12 0.457 0.113 0.184
O13 0.532 0.435 0.494
O14 0.547 0.201 0.861
O15 0.600 0.876 0.535
O16 0.613 0.351 0.184
O17 0.682 0.824 0.845
O18 0.747 0.370 0.022
O19 0.749 0.055 0.504
O20 0.824 0.682 0.345
O21 0.857 0.952 0.198
O22 0.876 0.600 0.035
O23 0.900 0.260 0.497
O24 0.952 0.857 0.698

Top 6 peaks for 2θ from 10° to 80°, in order of rising 2θ:
| Position (°2θ) | I/Imax |
| --- | --- |
| 19.17 | 74 |
| 19.43 | 100 |
| 19.54 | 80 |
| 30.79 | 67 |
| 31.23 | 66 |
| 33.98 | 81 |